1.
Zn3Os5: simulated X-ray diffraction stick pattern (Cu Kα (λ = 1.5418 Å)), based on a GGA-PBE-relaxed structure.

Cell and atoms:
Lattice parameters (Å, degrees): 7.6809 7.7938 3.8297 90.00 90.00 90.00
Positions (direct):
1 Zn 0.0000 0.0000 0.0000
2 Zn 0.2439 0.0000 0.5000
3 Zn 0.2561 0.5000 0.5000
4 Zn 0.5000 0.5000 0.0000
5 Zn 0.7439 0.5000 0.5000
6 Zn 0.7561 0.0000 0.5000
7 Os 0.0000 0.2579 0.5000
8 Os 0.0000 0.5000 0.0000
9 Os 0.0000 0.7421 0.5000
10 Os 0.2500 0.2500 0.0000
11 Os 0.2500 0.7500 0.0000
12 Os 0.5000 0.0000 0.0000
13 Os 0.5000 0.2421 0.5000
14 Os 0.5000 0.7579 0.5000
15 Os 0.7500 0.2500 0.0000
16 Os 0.7500 0.7500 0.0000

Main lines, by intensity (10° ≤ 2θ ≤ 80°):
- 40.53 deg, I 100
- 46.61 deg, I 17
- 47.34 deg, I 16
- 47.48 deg, I 16
- 68.62 deg, I 10
- 68.73 deg, I 10
- 69.30 deg, I 10
- 22.82 deg, I 10
- 33.03 deg, I 8
- 16.20 deg, I 6

***

2.
Zn3Os: simulated X-ray diffraction stick pattern (Cu Kα (λ = 1.5418 Å)), based on a GGA-PBE-relaxed structure.

Cell and atoms:
Lattice parameters (Å, degrees): 3.7968 3.7968 15.5566 90.00 90.00 90.00
Positions (direct):
1 Zn 0.0000 0.0000 0.1285
2 Zn 0.0000 0.0000 0.8715
3 Zn 0.0000 0.5000 0.0000
4 Zn 0.0000 0.5000 0.2500
5 Zn 0.0000 0.5000 0.5000
6 Zn 0.0000 0.5000 0.7500
7 Zn 0.5000 0.0000 0.0000
8 Zn 0.5000 0.0000 0.2500
9 Zn 0.5000 0.0000 0.5000
10 Zn 0.5000 0.0000 0.7500
11 Zn 0.5000 0.5000 0.3715
12 Zn 0.5000 0.5000 0.6285
13 Os 0.0000 0.0000 0.3816
14 Os 0.0000 0.0000 0.6184
15 Os 0.5000 0.5000 0.1184
16 Os 0.5000 0.5000 0.8816

Main lines, by intensity (10° ≤ 2θ ≤ 80°):
- 40.84 deg, I 100
- 47.92 deg, I 32
- 69.15 deg, I 19
- 24.13 deg, I 19
- 46.71 deg, I 16
- 37.37 deg, I 10
- 70.10 deg, I 10
- 22.87 deg, I 9
- 33.37 deg, I 7
- 58.66 deg, I 6

***

3.
Zn4Os5: simulated X-ray diffraction stick pattern (Cu Kα (λ = 1.5418 Å)), based on a GGA-PBE-relaxed structure.

Cell and atoms:
Lattice parameters (Å, degrees): 6.9614 6.9614 6.9614 92.34 92.34 156.68
Positions (direct):
1 Zn 0.0000 0.3325 0.3325
2 Zn 0.0000 0.6675 0.6675
3 Zn 0.3325 0.0000 0.3325
4 Zn 0.6675 0.0000 0.6675
5 Os 0.0000 0.0000 0.0000
6 Os 0.3316 0.3316 0.6631
7 Os 0.3316 0.6684 0.0000
8 Os 0.6684 0.3316 0.0000
9 Os 0.6684 0.6684 0.3369

Main lines, by intensity (10° ≤ 2θ ≤ 80°):
- 42.71 deg, I 100
- 39.66 deg, I 62
- 74.07 deg, I 39
- 12.99 deg, I 30
- 57.34 deg, I 21
- 38.19 deg, I 10
- 26.14 deg, I 7
- 66.46 deg, I 7
- 18.40 deg, I 5
- 50.77 deg, I 4

***

4.
ZnOs2: simulated X-ray diffraction stick pattern (Cu Kα (λ = 1.5418 Å)), based on a GGA-PBE-relaxed structure.

Cell and atoms:
Lattice parameters (Å, degrees): 9.9238 2.7797 6.3848 90.00 104.31 90.00
Positions (direct):
1 Zn 0.1951 0.0000 0.1334
2 Zn 0.3049 0.5000 0.8666
3 Zn 0.6951 0.5000 0.1334
4 Zn 0.8049 0.0000 0.8666
5 Os 0.0260 0.5000 0.7993
6 Os 0.1350 0.0000 0.5218
7 Os 0.3650 0.5000 0.4782
8 Os 0.4740 0.0000 0.2007
9 Os 0.5260 0.0000 0.7993
10 Os 0.6350 0.5000 0.5218
11 Os 0.8650 0.0000 0.4782
12 Os 0.9740 0.5000 0.2007

Main lines, by intensity (10° ≤ 2θ ≤ 80°):
- 43.21 deg, I 100
- 43.07 deg, I 88
- 41.49 deg, I 67
- 43.63 deg, I 44
- 37.59 deg, I 44
- 43.90 deg, I 41
- 68.77 deg, I 29
- 14.32 deg, I 29
- 76.98 deg, I 26
- 18.45 deg, I 25

***

5.
Zn15Os: simulated X-ray diffraction stick pattern (Cu Kα (λ = 1.5418 Å)), based on a GGA-PBE-relaxed structure.

Cell and atoms:
Lattice parameters (Å, degrees): 5.4059 5.4059 9.3352 90.00 90.00 120.00
Positions (direct):
1 Zn 0.0000 0.0000 0.0000
2 Zn 0.0068 0.5034 0.5000
3 Zn 0.3320 0.1660 0.2597
4 Zn 0.3320 0.1660 0.7403
5 Zn 0.3333 0.6667 0.2302
6 Zn 0.3333 0.6667 0.7698
7 Zn 0.4966 0.5034 0.5000
8 Zn 0.4966 0.9932 0.5000
9 Zn 0.5036 0.0071 0.0000
10 Zn 0.5036 0.4964 0.0000
11 Zn 0.8340 0.1660 0.2597
12 Zn 0.8340 0.1660 0.7403
13 Zn 0.8340 0.6680 0.2597
14 Zn 0.8340 0.6680 0.7403
15 Zn 0.9929 0.4964 0.0000
16 Os 0.0000 0.0000 0.5000

Main lines, by intensity (10° ≤ 2θ ≤ 80°):
- 43.24 deg, I 100
- 38.58 deg, I 29
- 38.46 deg, I 26
- 73.02 deg, I 18
- 55.60 deg, I 16
- 69.56 deg, I 15
- 21.23 deg, I 9
- 18.97 deg, I 6
- 26.97 deg, I 4
- 34.59 deg, I 3

***

6.
Zn4Os5: simulated X-ray diffraction stick pattern (Cu Kα (λ = 1.5418 Å)), based on a GGA-PBE-relaxed structure.

Cell and atoms:
Lattice parameters (Å, degrees): 7.6106 7.6106 5.0943 90.00 90.00 120.00
Positions (direct):
1 Zn 0.0000 0.0000 0.0000
2 Zn 0.0000 0.0000 0.5000
3 Zn 0.0000 0.3532 0.2500
4 Zn 0.0000 0.6468 0.7500
5 Zn 0.3532 0.0000 0.2500
6 Zn 0.3532 0.3532 0.7500
7 Zn 0.6468 0.0000 0.7500
8 Zn 0.6468 0.6468 0.2500
9 Os 0.0000 0.3150 0.7500
10 Os 0.0000 0.6850 0.2500
11 Os 0.3150 0.0000 0.7500
12 Os 0.3150 0.3150 0.2500
13 Os 0.3333 0.6667 0.0000
14 Os 0.3333 0.6667 0.5000
15 Os 0.6667 0.3333 0.0000
16 Os 0.6667 0.3333 0.5000
17 Os 0.6850 0.0000 0.2500
18 Os 0.6850 0.6850 0.7500

Main lines, by intensity (10° ≤ 2θ ≤ 80°):
- 41.08 deg, I 100
- 42.72 deg, I 87
- 29.29 deg, I 30
- 60.76 deg, I 29
- 75.98 deg, I 29
- 74.86 deg, I 15
- 13.43 deg, I 9
- 51.26 deg, I 8
- 67.70 deg, I 7
- 74.50 deg, I 6

***

Please write out number 4 again, unchanged.
ZnOs2: simulated X-ray diffraction stick pattern (Cu Kα (λ = 1.5418 Å)), based on a GGA-PBE-relaxed structure.

Cell and atoms:
Lattice parameters (Å, degrees): 9.9238 2.7797 6.3848 90.00 104.31 90.00
Positions (direct):
1 Zn 0.1951 0.0000 0.1334
2 Zn 0.3049 0.5000 0.8666
3 Zn 0.6951 0.5000 0.1334
4 Zn 0.8049 0.0000 0.8666
5 Os 0.0260 0.5000 0.7993
6 Os 0.1350 0.0000 0.5218
7 Os 0.3650 0.5000 0.4782
8 Os 0.4740 0.0000 0.2007
9 Os 0.5260 0.0000 0.7993
10 Os 0.6350 0.5000 0.5218
11 Os 0.8650 0.0000 0.4782
12 Os 0.9740 0.5000 0.2007

Main lines, by intensity (10° ≤ 2θ ≤ 80°):
- 43.21 deg, I 100
- 43.07 deg, I 88
- 41.49 deg, I 67
- 43.63 deg, I 44
- 37.59 deg, I 44
- 43.90 deg, I 41
- 68.77 deg, I 29
- 14.32 deg, I 29
- 76.98 deg, I 26
- 18.45 deg, I 25